No. 1
For AgIO3, the GGA-PBE geometry in Alexandria gives the calculated powder X-ray diffraction pattern in this record (Cu Kα, 1.54184 Å).
Kinematic intensities with the Lorentz-polarization factor, no thermal factor.

Top 10 peaks for 10° ≤ 2θ ≤ 90°, most intense first:
| 2theta | I_rel |
| --- | --- |
| 29.21 | 100 |
| 30.29 | 24 |
| 53.17 | 20 |
| 37.27 | 19 |
| 23.24 | 17 |
| 42.54 | 16 |
| 49.74 | 14 |
| 56.69 | 13 |
| 10.06 | 9 |
| 51.73 | 9 |

Structure:
a b c (Å): 5.902 6.127 17.580
angles (deg): 90.00 90.00 90.00
Space group Pbca (No. 61)
Asymmetric unit:
Ag1 0.016 0.211 0.040
I1 0.010 0.199 0.336
O1 0.130 0.107 0.429
O2 0.158 0.575 0.621
O3 0.247 0.152 0.794

---

No. 2
For Ag2I2O7, the GGA-PBE geometry in Alexandria gives the calculated powder X-ray diffraction pattern in this record (Cu Kα, 1.54184 Å).
Kinematic intensities with the Lorentz-polarization factor, no thermal factor.

Top 10 peaks for 10° ≤ 2θ ≤ 90°, most intense first:
| 2theta | I_rel |
| --- | --- |
| 24.55 | 100 |
| 28.59 | 98 |
| 27.32 | 77 |
| 31.64 | 58 |
| 30.51 | 37 |
| 38.77 | 35 |
| 32.12 | 34 |
| 28.74 | 23 |
| 35.02 | 22 |
| 56.07 | 22 |

Structure:
a b c (Å): 5.799 10.101 6.601
angles (deg): 90.00 115.71 90.00
Space group P2_1/c (No. 14)
Asymmetric unit:
Ag1 0.056 0.162 0.469
I1 0.339 0.547 0.709
O1 0.048 0.636 0.497
O2 0.214 0.536 0.957
O3 0.486 0.201 0.675
O4 0.500 0.000 0.000

---

No. 3
For Ag5IO6, the GGA-PBE geometry in Alexandria gives the calculated powder X-ray diffraction pattern in this record (Cu Kα, 1.54184 Å).
Kinematic intensities with the Lorentz-polarization factor, no thermal factor.

Top 10 peaks for 10° ≤ 2θ ≤ 90°, most intense first:
| 2theta | I_rel |
| --- | --- |
| 34.02 | 100 |
| 38.77 | 38 |
| 30.87 | 37 |
| 52.82 | 29 |
| 27.61 | 23 |
| 32.57 | 18 |
| 63.44 | 15 |
| 64.33 | 14 |
| 51.51 | 14 |
| 52.40 | 13 |

Structure:
a b c (Å): 6.0044 6.0044 32.9904
angles (deg): 90.00 90.00 120.00
Space group R-3c (No. 167, hexagonal axes)
Asymmetric unit:
Ag1 0.0000 0.0000 0.1493
Ag2 0.0000 0.2966 0.2500
I1 0.0000 0.0000 0.0000
O1 0.0451 0.4316 0.1332

---

No. 4
For Ag2IO6, the GGA-PBE geometry in Alexandria gives the calculated powder X-ray diffraction pattern in this record (Cu Kα, 1.54184 Å).
Kinematic intensities with the Lorentz-polarization factor, no thermal factor.

Top 10 peaks for 10° ≤ 2θ ≤ 90°, most intense first:
| 2theta | I_rel |
| --- | --- |
| 18.91 | 100 |
| 31.27 | 63 |
| 35.60 | 47 |
| 30.35 | 38 |
| 58.50 | 27 |
| 48.10 | 26 |
| 55.66 | 19 |
| 49.05 | 18 |
| 55.09 | 16 |
| 44.14 | 16 |

Structure:
a b c (Å): 5.7205 5.7205 14.6483
angles (deg): 90.00 90.00 120.00
Space group R-3 (No. 148, hexagonal axes)
Asymmetric unit:
Ag1 0.0000 0.0000 0.2091
I1 0.0000 0.0000 0.0000
O1 0.0034 0.7363 0.9201

---

No. 5
For AgIO3, the GGA-PBE geometry in Alexandria gives the calculated powder X-ray diffraction pattern in this record (Cu Kα, 1.54184 Å).
Kinematic intensities with the Lorentz-polarization factor, no thermal factor.

Top 10 peaks for 10° ≤ 2θ ≤ 90°, most intense first:
| 2theta | I_rel |
| --- | --- |
| 27.57 | 100 |
| 30.11 | 98 |
| 29.39 | 92 |
| 43.12 | 59 |
| 33.76 | 38 |
| 50.80 | 38 |
| 18.87 | 34 |
| 38.12 | 24 |
| 58.21 | 21 |
| 11.46 | 18 |

Structure:
a b c (Å): 15.440 7.272 5.929
angles (deg): 90.00 90.00 90.00
Space group Pca2_1 (No. 29)
Asymmetric unit:
Ag1 0.201 0.101 0.000
Ag2 0.206 0.635 0.991
I1 0.089 0.864 0.510
I2 0.090 0.370 0.598
O1 0.068 0.177 0.797
O2 0.070 0.565 0.791
O3 0.105 0.060 0.317
O4 0.117 0.668 0.324
O5 0.196 0.874 0.657
O6 0.209 0.364 0.627

---

No. 6
For Ag2I2O7, the GGA-PBE geometry in Alexandria gives the calculated powder X-ray diffraction pattern in this record (Cu Kα, 1.54184 Å).
Kinematic intensities with the Lorentz-polarization factor, no thermal factor.

Top 10 peaks for 10° ≤ 2θ ≤ 90°, most intense first:
| 2theta | I_rel |
| --- | --- |
| 24.88 | 100 |
| 21.19 | 74 |
| 31.91 | 42 |
| 44.19 | 37 |
| 28.12 | 31 |
| 28.98 | 30 |
| 56.36 | 25 |
| 36.25 | 19 |
| 33.68 | 19 |
| 32.91 | 19 |

Structure:
a b c (Å): 7.273 8.817 6.135
angles (deg): 90.00 91.94 90.00
Space group C2/m (No. 12)
Asymmetric unit:
Ag1 0.000 0.201 0.000
I1 0.237 0.000 0.375
O1 0.000 0.500 0.500
O2 0.013 0.000 0.753
O3 0.216 0.332 0.801

---

No. 7
For AgI2O4, the GGA-PBE geometry in Alexandria gives the calculated powder X-ray diffraction pattern in this record (Cu Kα, 1.54184 Å).
Kinematic intensities with the Lorentz-polarization factor, no thermal factor.

Top 10 peaks for 10° ≤ 2θ ≤ 90°, most intense first:
| 2theta | I_rel |
| --- | --- |
| 24.60 | 100 |
| 30.09 | 79 |
| 22.71 | 49 |
| 30.34 | 45 |
| 26.57 | 43 |
| 50.80 | 40 |
| 45.06 | 39 |
| 24.78 | 30 |
| 26.75 | 29 |
| 27.61 | 27 |

Structure:
a b c (Å): 6.664 6.666 7.605
angles (deg): 64.06 72.86 89.96
Space group P1 (No. 1)
Asymmetric unit:
Ag1 0.000 0.000 0.000
Ag2 0.250 0.747 0.507
I1 0.124 0.348 0.254
I2 0.582 0.277 0.756
I3 0.624 0.407 0.253
I4 0.668 0.780 0.750
O1 0.325 0.139 0.293
O2 0.373 0.030 0.847
O3 0.397 0.568 0.300
O4 0.405 0.503 0.754
O5 0.846 0.003 0.753
O6 0.851 0.615 0.207
O7 0.877 0.623 0.660
O8 0.924 0.178 0.214

---

No. 8
For Pa2Ag2I2O5, the GGA-PBE geometry in Alexandria gives the calculated powder X-ray diffraction pattern in this record (Cu Kα, 1.54184 Å).
Kinematic intensities with the Lorentz-polarization factor, no thermal factor.

Top 10 peaks for 10° ≤ 2θ ≤ 90°, most intense first:
| 2theta | I_rel |
| --- | --- |
| 30.08 | 100 |
| 29.88 | 83 |
| 21.23 | 79 |
| 24.38 | 46 |
| 38.93 | 45 |
| 42.76 | 41 |
| 53.17 | 41 |
| 12.12 | 34 |
| 48.21 | 32 |
| 49.83 | 27 |

Structure:
a b c (Å): 4.229 4.229 29.213
angles (deg): 90.00 90.00 90.00
Space group I4/mmm (No. 139)
Asymmetric unit:
Pa1 0.000 0.000 0.073
Ag1 0.000 0.000 0.339
I1 0.000 0.000 0.187
O1 0.000 0.000 0.000
O2 0.000 0.500 0.083

---

No. 9
For AgPdI3O9, the GGA-PBE geometry in Alexandria gives the calculated powder X-ray diffraction pattern in this record (Cu Kα, 1.54184 Å).
Kinematic intensities with the Lorentz-polarization factor, no thermal factor.

Top 10 peaks for 10° ≤ 2θ ≤ 90°, most intense first:
| 2theta | I_rel |
| --- | --- |
| 25.25 | 100 |
| 26.57 | 96 |
| 28.64 | 79 |
| 24.04 | 66 |
| 11.13 | 59 |
| 26.79 | 57 |
| 31.46 | 56 |
| 33.36 | 54 |
| 22.36 | 39 |
| 33.60 | 39 |

Structure:
a b c (Å): 7.498 8.206 8.729
angles (deg): 65.66 87.01 80.65
Space group P-1 (No. 2)
Asymmetric unit:
Ag1 0.167 0.320 0.381
Pd1 0.500 0.000 0.500
Pd2 0.500 0.500 0.500
I1 0.198 0.297 0.780
I2 0.223 0.776 0.818
I3 0.240 0.897 0.267
O1 0.016 0.173 0.253
O2 0.042 0.627 0.206
O3 0.172 0.135 0.687
O4 0.214 0.990 0.042
O5 0.235 0.480 0.563
O6 0.258 0.531 0.899
O7 0.331 0.816 0.607
O8 0.390 0.059 0.272
O9 0.430 0.711 0.276

---

No. 10
For PmAg2IO6, the GGA-PBE geometry in Alexandria gives the calculated powder X-ray diffraction pattern in this record (Cu Kα, 1.54184 Å).
Kinematic intensities with the Lorentz-polarization factor, no thermal factor.

Top 10 peaks for 10° ≤ 2θ ≤ 90°, most intense first:
| 2theta | I_rel |
| --- | --- |
| 30.37 | 100 |
| 31.00 | 87 |
| 43.95 | 46 |
| 54.75 | 39 |
| 55.14 | 22 |
| 53.57 | 19 |
| 72.05 | 17 |
| 73.05 | 15 |
| 63.19 | 15 |
| 64.61 | 12 |

Structure:
a b c (Å): 5.7701 5.7701 14.5665
angles (deg): 90.00 90.00 120.00
Space group R-3 (No. 148, hexagonal axes)
Asymmetric unit:
Pm1 0.0000 0.0000 0.0000
Ag1 0.0000 0.0000 0.2486
I1 0.0000 0.0000 0.5000
O1 0.0405 0.4244 0.2425

---

No. 11
For Pu2Ag2I2O5, the GGA-PBE geometry in Alexandria gives the calculated powder X-ray diffraction pattern in this record (Cu Kα, 1.54184 Å).
Kinematic intensities with the Lorentz-polarization factor, no thermal factor.

Top 10 peaks for 10° ≤ 2θ ≤ 90°, most intense first:
| 2theta | I_rel |
| --- | --- |
| 30.68 | 100 |
| 30.36 | 77 |
| 21.57 | 74 |
| 54.14 | 41 |
| 43.47 | 38 |
| 24.94 | 36 |
| 12.40 | 36 |
| 39.68 | 32 |
| 50.77 | 21 |
| 40.96 | 18 |

Structure:
a b c (Å): 4.164 4.164 28.561
angles (deg): 90.00 90.00 90.00
Space group I4/mmm (No. 139)
Asymmetric unit:
Pu1 0.000 0.000 0.072
Ag1 0.000 0.000 0.346
I1 0.000 0.000 0.186
O1 0.000 0.000 0.000
O2 0.000 0.500 0.079